For Ta2FeNiSn2, a DFT-relaxed cell (PBE, OQMD) gives the theoretical powder diffractogram in this record (a wavelength of 1.5418 Å).

Structural model:
```
Ta2FeNiSn2
1.0
-2.9889 2.9889 5.9708
2.9889 -2.9889 5.9708
2.9889 2.9889 -5.9708
Ta Fe Ni Sn
4 2 2 4
direct
0.1149 0.1250 0.4899
0.3750 0.8851 0.0101
0.6351 0.6250 0.5101
0.8750 0.3649 0.9899
0.0000 0.0000 0.0000
0.7500 0.2500 0.5000
0.2500 0.7500 0.5000
0.5000 0.5000 0.0000
0.1276 0.6250 0.0026
0.3750 0.3776 0.5026
0.6224 0.1250 0.9974
0.8750 0.8724 0.4974
```

Principal peaks in the range 2θ = 15–90°, most intense first:
2θ 42.8, 2.113 Å, intensity 100; 2θ 29.9, 2.988 Å, intensity 56; 2θ 78.4, 1.220 Å, intensity 34; 2θ 70.5, 1.336 Å, intensity 21; 2θ 62.1, 1.494 Å, intensity 17; 2θ 53.1, 1.725 Å, intensity 16; 2θ 25.8, 3.450 Å, intensity 14; 2θ 50.7, 1.802 Å, intensity 6; 2θ 68.4, 1.371 Å, intensity 2; 2θ 84.2, 1.150 Å, intensity 1